Entry 1:
# LiBi2P3O12
Computed powder XRD pattern, Cu Kα X-rays. Input: the GGA-PBE geometry in the Materials Project.
Lines closer than 0.1° are merged.

Peak list (8 most intense, 2θ from 5° to 70°, by intensity)
2θ 20.22, I = 100
2θ 18.50, I = 82
2θ 29.76, I = 47
2θ 18.39, I = 38
2θ 29.63, I = 37
2θ 13.63, I = 36
2θ 35.37, I = 28
2θ 34.41, I = 24

Structural model:
Cell lengths 8.772, 8.787, 9.676 Å; angles 63.04, 89.73, 60.15 degrees
Element x y z (fractional)
Li1 0.242 0.196 0.122
Li2 0.758 0.804 0.878
Bi1 0.163 0.694 0.967
Bi2 0.352 0.300 0.565
Bi3 0.648 0.700 0.435
Bi4 0.837 0.306 0.033
P1 0.049 0.501 0.764
P2 0.239 0.813 0.241
P3 0.453 0.793 0.754
P4 0.547 0.207 0.246
P5 0.761 0.187 0.759
P6 0.951 0.499 0.236
O1 0.000 0.333 0.188
O2 0.000 0.667 0.812
O3 0.027 0.975 0.190
O4 0.054 0.314 0.914
O5 0.102 0.395 0.386
O6 0.243 0.403 0.750
O7 0.286 0.629 0.405
O8 0.292 0.752 0.109
O9 0.342 0.692 0.814
O10 0.348 0.905 0.246
O11 0.350 0.352 0.116
O12 0.369 0.997 0.746
O13 0.473 0.806 0.593
O14 0.527 0.194 0.407
O15 0.631 0.003 0.254
O16 0.650 0.648 0.884
O17 0.652 0.095 0.754
O18 0.658 0.308 0.186
O19 0.708 0.248 0.891
O20 0.714 0.371 0.595
O21 0.757 0.597 0.250
O22 0.898 0.605 0.614
O23 0.946 0.686 0.086
O24 0.973 0.025 0.810

Entry 2:
# Dy3Ga
Computed powder XRD pattern, Cu Kα X-rays. Input: the GGA-PBE geometry in the Materials Project.
Lines closer than 0.1° are merged.

Peak list (8 most intense, 2θ from 5° to 70°, by intensity)
2θ 32.86, I = 100
2θ 38.13, I = 50
2θ 65.59, I = 41
2θ 55.02, I = 35
2θ 68.90, I = 12
2θ 18.80, I = 7
2θ 26.71, I = 6
2θ 42.84, I = 4

Structural model:
Cell lengths 4.721, 4.721, 4.721 Å; angles 90.00, 90.00, 90.00 degrees
Element x y z (fractional)
Dy1 0.000 0.000 0.500
Dy2 0.000 0.500 0.000
Dy3 0.500 0.000 0.000
Ga1 0.500 0.500 0.500

Entry 3:
# TiNCl
Computed powder XRD pattern, Cu Kα X-rays. Input: the GGA-PBE geometry in the Materials Project.
Lines closer than 0.1° are merged.

Peak list (8 most intense, 2θ from 5° to 70°, by intensity)
2θ 10.53, I = 100
2θ 24.82, I = 49
2θ 34.73, I = 35
2θ 42.47, I = 17
2θ 37.17, I = 16
2θ 58.69, I = 13
2θ 45.75, I = 12
2θ 48.54, I = 10

Structural model:
Cell lengths 3.275, 3.967, 8.402 Å; angles 90.00, 90.00, 90.00 degrees
Element x y z (fractional)
Ti1 0.250 0.250 0.092
Ti2 0.750 0.750 0.908
N1 0.250 0.750 0.045
N2 0.750 0.250 0.955
Cl1 0.250 0.750 0.689
Cl2 0.750 0.250 0.311

Entry 4:
# NbCr3S8
Computed powder XRD pattern, Cu Kα X-rays. Input: the GGA-PBE geometry in the Materials Project.
Lines closer than 0.1° are merged.

Peak list (8 most intense, 2θ from 5° to 70°, by intensity)
2θ 37.16, I = 100
2θ 15.76, I = 74
2θ 54.06, I = 20
2θ 30.55, I = 19
2θ 31.02, I = 15
2θ 52.89, I = 11
2θ 53.02, I = 11
2θ 53.13, I = 11

Structural model:
Cell lengths 6.765, 6.783, 6.794 Å; angles 61.33, 61.26, 61.19 degrees
Element x y z (fractional)
Nb1 0.000 0.000 0.000
Cr1 0.000 0.000 0.500
Cr2 0.000 0.500 0.000
Cr3 0.500 0.000 0.000
S1 0.245 0.245 0.245
S2 0.248 0.745 0.745
S3 0.255 0.255 0.752
S4 0.255 0.752 0.254
S5 0.745 0.248 0.746
S6 0.745 0.745 0.248
S7 0.752 0.255 0.255
S8 0.755 0.755 0.755

Entry 5:
# ReSeS
Computed powder XRD pattern, Cu Kα X-rays. Input: the GGA-PBE geometry in the Materials Project.
Lines closer than 0.1° are merged.

Peak list (8 most intense, 2θ from 5° to 70°, by intensity)
2θ 13.12, I = 100
2θ 36.00, I = 17
2θ 35.67, I = 15
2θ 36.41, I = 15
2θ 31.46, I = 9
2θ 31.91, I = 8
2θ 16.43, I = 8
2θ 31.28, I = 7

Structural model:
Cell lengths 6.514, 6.628, 7.069 Å; angles 74.05, 76.68, 61.57 degrees
Element x y z (fractional)
Re1 0.009 0.286 0.002
Re2 0.438 0.315 0.009
Re3 0.562 0.685 0.991
Re4 0.991 0.714 0.998
Se1 0.107 0.377 0.281
Se2 0.387 0.114 0.780
Se3 0.613 0.886 0.220
Se4 0.893 0.623 0.719
S1 0.161 0.866 0.169
S2 0.348 0.656 0.768
S3 0.652 0.344 0.232
S4 0.839 0.134 0.831

Entry 6:
# Nd3Ga2Si4
Computed powder XRD pattern, Cu Kα X-rays. Input: the GGA-PBE geometry in the Materials Project.
Lines closer than 0.1° are merged.

Peak list (8 most intense, 2θ from 5° to 70°, by intensity)
2θ 32.60, I = 100
2θ 28.54, I = 36
2θ 38.00, I = 31
2θ 42.38, I = 18
2θ 43.52, I = 17
2θ 59.13, I = 17
2θ 49.91, I = 16
2θ 21.75, I = 15

Structural model:
Cell lengths 21.555, 21.555, 21.555 Å; angles 168.93, 168.64, 15.89 degrees
Element x y z (fractional)
Nd1 0.000 0.000 0.000
Nd2 0.079 0.579 0.500
Nd3 0.331 0.331 0.000
Nd4 0.411 0.911 0.500
Nd5 0.665 0.665 0.000
Nd6 0.745 0.245 0.500
Ga1 0.135 0.135 0.000
Ga2 0.469 0.469 0.000
Ga3 0.802 0.802 0.000
Ga4 0.942 0.442 0.500
Si1 0.192 0.192 0.000
Si2 0.219 0.719 0.500
Si3 0.274 0.774 0.500
Si4 0.525 0.525 0.000
Si5 0.553 0.053 0.500
Si6 0.608 0.108 0.500
Si7 0.858 0.858 0.000
Si8 0.885 0.385 0.500

Entry 7:
# Sm2SiSeO4
Computed powder XRD pattern, Cu Kα X-rays. Input: the GGA-PBE geometry in the Materials Project.
Lines closer than 0.1° are merged.

Peak list (8 most intense, 2θ from 5° to 70°, by intensity)
2θ 29.79, I = 100
2θ 32.49, I = 69
2θ 32.59, I = 63
2θ 35.60, I = 52
2θ 20.63, I = 43
2θ 24.97, I = 43
2θ 21.60, I = 37
2θ 40.16, I = 37

Structural model:
Cell lengths 6.181, 7.148, 11.025 Å; angles 90.00, 90.00, 90.00 degrees
Element x y z (fractional)
Sm1 0.109 0.250 0.000
Sm2 0.109 0.250 0.500
Sm3 0.368 0.533 0.250
Sm4 0.368 0.967 0.750
Sm5 0.632 0.033 0.250
Sm6 0.632 0.467 0.750
Sm7 0.891 0.750 0.000
Sm8 0.891 0.750 0.500
Si1 0.386 0.750 0.000
Si2 0.386 0.750 0.500
Si3 0.614 0.250 0.000
Si4 0.614 0.250 0.500
Se1 0.073 0.621 0.750
Se2 0.073 0.879 0.250
Se3 0.927 0.121 0.750
Se4 0.927 0.379 0.250
O1 0.226 0.572 0.032
O2 0.226 0.572 0.468
O3 0.226 0.928 0.532
O4 0.226 0.928 0.968
O5 0.451 0.236 0.619
O6 0.451 0.236 0.881
O7 0.451 0.264 0.119
O8 0.451 0.264 0.381
O9 0.549 0.736 0.619
O10 0.549 0.736 0.881
O11 0.549 0.764 0.119
O12 0.549 0.764 0.381
O13 0.774 0.072 0.032
O14 0.774 0.072 0.468
O15 0.774 0.428 0.532
O16 0.774 0.428 0.968

Entry 8:
# Mg14FeBi
Computed powder XRD pattern, Cu Kα X-rays. Input: the GGA-PBE geometry in the Materials Project.
Lines closer than 0.1° are merged.

Peak list (8 most intense, 2θ from 5° to 70°, by intensity)
2θ 8.62, I = 100
2θ 37.22, I = 91
2θ 18.40, I = 73
2θ 16.23, I = 47
2θ 37.38, I = 46
2θ 23.80, I = 43
2θ 35.01, I = 35
2θ 32.70, I = 29

Structural model:
Cell lengths 10.253, 6.302, 6.302 Å; angles 60.36, 90.00, 90.00 degrees
Element x y z (fractional)
Mg1 0.000 0.000 0.000
Mg2 0.000 0.002 0.498
Mg3 0.000 0.498 0.002
Mg4 0.000 0.499 0.499
Mg5 0.243 0.669 0.669
Mg6 0.254 0.158 0.677
Mg7 0.254 0.677 0.158
Mg8 0.256 0.163 0.163
Mg9 0.500 0.499 0.999
Mg10 0.500 0.999 0.499
Mg11 0.744 0.163 0.163
Mg12 0.746 0.158 0.677
Mg13 0.746 0.677 0.158
Mg14 0.757 0.669 0.669
Fe1 0.500 0.998 0.998
Bi1 0.500 0.503 0.503